Record 1
For CaMn6O5F7, a DFT-relaxed cell (PBE+U, the Materials Project) gives the computed powder diffractogram in this record (Cu Kα (weighted mean of Kα1 and Kα2)).
Neutral-atom scattering factors, no anomalous dispersion.

Main lines, most intense first (2θ = 15–90°):
two_theta	intensity
19.98	100
27.62	80
33.66	47
32.61	39
31.20	31
44.58	28
48.51	25
53.53	25

Structural model:
```
CaMn6O5F7
1.0
6.047 0.000 0.000
0.092 6.658 0.000
1.568 2.002 6.685
Ca Mn O F
1 6 5 7
Direct
0.000 0.000 0.000 Ca
0.028 0.490 0.978 Mn
0.037 0.535 0.491 Mn
0.405 0.769 0.154 Mn
0.416 0.806 0.657 Mn
0.603 0.257 0.808 Mn
0.613 0.224 0.330 Mn
0.114 0.802 0.295 O
0.172 0.602 0.680 O
0.267 0.745 0.942 O
0.528 0.084 0.629 O
0.767 0.263 0.039 O
0.273 0.231 0.000 F
0.376 0.455 0.320 F
0.533 0.881 0.347 F
0.679 0.576 0.648 F
0.717 0.781 0.997 F
0.900 0.440 0.298 F
0.973 0.238 0.667 F
```

Record 2
For Hg2MoO4, a DFT-relaxed cell (PBE+U, the Materials Project) gives the computed powder diffractogram in this record (Cu Kα (weighted mean of Kα1 and Kα2)).
Neutral-atom scattering factors, no anomalous dispersion.

Main lines, most intense first (2θ = 15–90°):
two_theta	intensity
26.77	100
29.68	34
27.36	28
34.22	26
19.21	22
34.66	22
28.51	18
50.94	18

Structural model:
```
Hg2MoO4
1.0
4.469 -6.021 0.000
4.469 6.021 0.000
-2.194 0.000 4.557
Hg Mo O
4 2 8
Direct
0.034 0.254 0.479 Hg
0.254 0.034 0.979 Hg
0.746 0.966 0.021 Hg
0.966 0.746 0.521 Hg
0.401 0.599 0.250 Mo
0.599 0.401 0.750 Mo
0.169 0.552 0.301 O
0.317 0.411 0.855 O
0.411 0.317 0.355 O
0.448 0.831 0.199 O
0.552 0.169 0.801 O
0.589 0.683 0.645 O
0.683 0.589 0.145 O
0.831 0.448 0.699 O
```

Record 3
For MgMnP2O7, a DFT-relaxed cell (PBE+U, the Materials Project) gives the computed powder diffractogram in this record (Cu Kα (weighted mean of Kα1 and Kα2)).
Neutral-atom scattering factors, no anomalous dispersion.

Main lines, most intense first (2θ = 15–90°):
two_theta	intensity
21.21	100
29.24	87
16.67	57
25.99	55
27.88	48
47.09	30
40.23	27
36.41	19

Structural model:
```
MgMnP2O7
1.0
3.482 -4.190 0.000
3.482 4.190 0.000
-0.768 0.000 4.956
Mg Mn P O
1 1 2 7
Direct
0.000 0.000 0.000 Mg
0.394 0.606 0.000 Mn
0.245 0.164 0.436 P
0.836 0.755 0.564 P
0.062 0.691 0.734 O
0.174 0.336 0.221 O
0.309 0.938 0.266 O
0.393 0.278 0.701 O
0.664 0.826 0.779 O
0.722 0.607 0.299 O
0.952 0.048 0.500 O
```